Entry 1:
Computed powder XRD pattern of La2Zr for Cu Kα, from the GGA-PBE geometry in Alexandria.
Peak positions follow from Bragg's law for the DFT cell and can differ from measured ones.

Structural model:
a b c (Å): 10.672 6.302 6.583
angles (deg): 90.00 122.58 90.00
Fractional coordinates of all 12 atoms:
La 0.176 0.097 0.205
La 0.176 0.903 0.705
La 0.324 0.403 0.795
La 0.324 0.597 0.295
La 0.676 0.403 0.705
La 0.676 0.597 0.205
La 0.824 0.097 0.295
La 0.824 0.903 0.795
Zr 0.000 0.475 0.750
Zr 0.000 0.525 0.250
Zr 0.500 0.025 0.250
Zr 0.500 0.975 0.750

Main lines, in order of rising 2θ (15° ≤ 2θ ≤ 90°):
27.21 deg, d = 3.278 Å, intensity 13
28.32 deg, d = 3.151 Å, intensity 15
28.82 deg, d = 3.098 Å, intensity 21
32.27 deg, d = 2.774 Å, intensity 34
32.68 deg, d = 2.740 Å, intensity 48
33.11 deg, d = 2.705 Å, intensity 100
33.47 deg, d = 2.677 Å, intensity 18
43.79 deg, d = 2.068 Å, intensity 11
50.45 deg, d = 1.809 Å, intensity 14
51.11 deg, d = 1.787 Å, intensity 9
58.02 deg, d = 1.590 Å, intensity 13
61.15 deg, d = 1.516 Å, intensity 18

Entry 2:
Computed powder XRD pattern of Nd4SmY for Cu Kα, from the GGA-PBE geometry in Alexandria.
Peak positions follow from Bragg's law for the DFT cell and can differ from measured ones.

Structural model:
a b c (Å): 11.565 5.164 7.324
angles (deg): 90.00 108.59 90.00
Fractional coordinates of all 12 atoms:
Nd 0.166 0.000 0.333
Nd 0.167 0.000 0.834
Nd 0.333 0.500 0.166
Nd 0.334 0.500 0.667
Nd 0.666 0.500 0.333
Nd 0.667 0.500 0.834
Nd 0.833 0.000 0.166
Nd 0.834 0.000 0.667
Sm 0.000 0.500 0.500
Sm 0.500 0.000 0.500
Y 0.000 0.500 0.000
Y 0.500 0.000 0.000

Main lines, in order of rising 2θ (15° ≤ 2θ ≤ 90°):
29.94 deg, d = 2.985 Å, intensity 100
34.68 deg, d = 2.587 Å, intensity 34
34.75 deg, d = 2.582 Å, intensity 17
49.85 deg, d = 1.829 Å, intensity 18
49.93 deg, d = 1.826 Å, intensity 18
59.20 deg, d = 1.561 Å, intensity 14
59.32 deg, d = 1.558 Å, intensity 29
62.15 deg, d = 1.494 Å, intensity 6
62.25 deg, d = 1.491 Å, intensity 6
81.08 deg, d = 1.186 Å, intensity 9
81.16 deg, d = 1.185 Å, intensity 6
83.73 deg, d = 1.155 Å, intensity 9

Entry 3:
Computed powder XRD pattern of Y4Hg3Pt for Cu Kα, from the GGA-PBE geometry in Alexandria.
Peak positions follow from Bragg's law for the DFT cell and can differ from measured ones.

Structural model:
a b c (Å): 3.648 3.648 14.848
angles (deg): 90.00 90.00 90.00
Fractional coordinates of all 8 atoms:
Y 0.000 0.000 0.111
Y 0.000 0.000 0.371
Y 0.000 0.000 0.629
Y 0.000 0.000 0.889
Hg 0.500 0.500 0.246
Hg 0.500 0.500 0.500
Hg 0.500 0.500 0.754
Pt 0.500 0.500 0.000

Main lines, in order of rising 2θ (15° ≤ 2θ ≤ 90°):
23.97 deg, d = 3.712 Å, intensity 9
24.40 deg, d = 3.648 Å, intensity 16
34.47 deg, d = 2.602 Å, intensity 100
34.77 deg, d = 2.580 Å, intensity 50
42.68 deg, d = 2.119 Å, intensity 9
49.08 deg, d = 1.856 Å, intensity 9
50.00 deg, d = 1.824 Å, intensity 18
61.55 deg, d = 1.507 Å, intensity 17
62.14 deg, d = 1.494 Å, intensity 36
72.68 deg, d = 1.301 Å, intensity 11
83.68 deg, d = 1.156 Å, intensity 8
83.86 deg, d = 1.154 Å, intensity 8

Entry 4:
Computed powder XRD pattern of K3AsCl6 for Cu Kα, from the GGA-PBE geometry in Alexandria.
Peak positions follow from Bragg's law for the DFT cell and can differ from measured ones.

Structural model:
a b c (Å): 7.728 7.728 7.728
angles (deg): 60.00 60.00 60.00
Fractional coordinates of all 10 atoms:
K 0.000 0.000 0.000
K 0.250 0.250 0.250
K 0.750 0.750 0.750
As 0.500 0.500 0.500
Cl 0.271 0.271 0.729
Cl 0.271 0.729 0.271
Cl 0.271 0.729 0.729
Cl 0.729 0.271 0.271
Cl 0.729 0.271 0.729
Cl 0.729 0.729 0.271

Main lines, in order of rising 2θ (15° ≤ 2θ ≤ 90°):
16.22 deg, d = 5.465 Å, intensity 46
23.02 deg, d = 3.864 Å, intensity 54
28.29 deg, d = 3.155 Å, intensity 38
32.78 deg, d = 2.732 Å, intensity 100
36.78 deg, d = 2.444 Å, intensity 18
40.43 deg, d = 2.231 Å, intensity 20
47.03 deg, d = 1.932 Å, intensity 62
52.99 deg, d = 1.728 Å, intensity 13
58.51 deg, d = 1.577 Å, intensity 19
63.72 deg, d = 1.460 Å, intensity 13
78.23 deg, d = 1.222 Å, intensity 21
87.44 deg, d = 1.115 Å, intensity 16